Entry 1:
Starting from a cell relaxed with GGA-PBE, the X-ray diffraction stick pattern of Ac3LaNd2 was simulated for copper Kα.
Lines closer than 0.1° are merged.

Principal peaks in the range 10 to 90 degrees two-theta, in order of rising 2θ:
two_theta	d (Å)	I_rel
24.03	3.704	20
28.80	3.100	100
29.22	3.057	85
29.55	3.023	55
29.70	3.008	41
41.30	2.186	14
42.39	2.132	15
51.29	1.781	14
51.94	1.760	25
58.29	1.583	15

Crystal structure
Unit cell a=9.653 b=10.831 c=9.472 alpha=90.00 beta=101.57 gamma=90.00
Space group C2/c (No. 15)
Symmetry-distinct sites (fractional):
Ac (0.000, 0.058, 0.250) [4 per cell]
Ac (0.215, 0.418, 0.978) [8 per cell]
La (0.000, 0.380, 0.250) [4 per cell]
Nd (0.132, 0.247, 0.619) [8 per cell]

Entry 2:
Starting from a cell relaxed with GGA-PBE, the X-ray diffraction stick pattern of PrY6Ho4 was simulated for copper Kα.
Lines closer than 0.1° are merged.

Principal peaks in the range 10 to 90 degrees two-theta, in order of rising 2θ:
two_theta	d (Å)	I_rel
18.73	4.739	28
29.92	2.987	35
31.41	2.848	68
32.73	2.736	100
35.53	2.527	30
38.04	2.365	24
46.00	1.973	19
51.04	1.789	22
57.60	1.600	18
62.16	1.493	31

Crystal structure
Unit cell a=10.9433 b=10.9433 c=3.5642 alpha=90.00 beta=90.00 gamma=120.00
Space group P-6m2 (No. 187)
Symmetry-distinct sites (fractional):
Pr (0.0000, 0.0000, 0.0000) [1 per cell]
Y (0.1836, 0.3672, 0.5000) [3 per cell]
Y (0.5179, 0.0358, 0.0000) [3 per cell]
Ho (0.3272, 0.1636, 0.5000) [3 per cell]
Ho (0.3333, 0.6667, 0.0000) [1 per cell]

Entry 3:
Starting from a cell relaxed with GGA-PBE, the X-ray diffraction stick pattern of Pr5N4 was simulated for copper Kα.
Lines closer than 0.1° are merged.

Principal peaks in the range 10 to 90 degrees two-theta, in order of rising 2θ:
two_theta	d (Å)	I_rel
12.06	7.341	14
27.16	3.283	58
30.15	2.964	100
38.79	2.321	27
39.06	2.306	13
47.20	1.926	9
49.90	1.828	33
55.30	1.661	17
59.21	1.560	9
62.68	1.482	13

Crystal structure
Unit cell a=10.382 b=10.382 c=3.852 alpha=90.00 beta=90.00 gamma=90.00
Space group I4/m (No. 87)
Symmetry-distinct sites (fractional):
Pr (0.000, 0.000, 0.000) [2 per cell]
Pr (0.105, 0.737, 0.500) [8 per cell]
N (0.144, 0.190, 0.000) [8 per cell]

Entry 4:
Starting from a cell relaxed with GGA-PBE, the X-ray diffraction stick pattern of CeHo4S6 was simulated for copper Kα.
Lines closer than 0.1° are merged.

Principal peaks in the range 10 to 90 degrees two-theta, in order of rising 2θ:
two_theta	d (Å)	I_rel
26.53	3.359	100
27.63	3.228	49
27.78	3.212	32
31.48	2.842	35
32.48	2.757	78
34.08	2.631	57
44.15	2.051	39
46.24	1.963	54
46.95	1.935	29
54.72	1.678	35

Crystal structure
Unit cell a=3.871 b=12.846 c=19.706 alpha=90.00 beta=90.00 gamma=90.00
Space group Cmcm (No. 63)
Symmetry-distinct sites (fractional):
Ce (0.000, 0.155, 0.250) [4 per cell]
Ho (0.000, 0.092, 0.627) [8 per cell]
Ho (0.000, 0.361, 0.540) [8 per cell]
S (0.000, 0.000, 0.000) [4 per cell]
S (0.000, 0.184, 0.750) [4 per cell]
S (0.000, 0.268, 0.089) [8 per cell]
S (0.000, 0.454, 0.665) [8 per cell]